Record 1
# TlRePbO2
Simulated powder diffractogram, Cu Ka. Input: a crystal structure in Alexandria, relaxed with PBE.

Crystal structure
```
TlRePbO2
1.0
3.997 0.000 0.000
0.000 3.997 0.000
0.000 0.000 5.875
Tl Re Pb O
1 1 1 2
direct
0.000 0.000 0.000
0.000 0.000 0.500
0.500 0.500 0.000
0.000 0.500 0.500
0.500 0.000 0.500
```

The 10 most intense peaks (2θ from 10° to 90°), in order of rising 2θ:
2theta	I/Imax
15.08	31
22.24	25
26.98	35
30.43	70
31.65	100
35.23	32
44.48	81
45.37	47
55.62	52
83.20	29

---

Record 2
# NaTlS2
Simulated powder diffractogram, Cu Ka. Input: a crystal structure in Alexandria, relaxed with PBE.

Crystal structure
```
NaTlS2
1.0
7.337 0.000 0.000
0.000 9.104 0.000
0.000 0.000 6.975
Na Tl S
4 4 8
direct
0.085 0.121 0.000
0.415 0.621 0.500
0.585 0.379 0.000
0.915 0.879 0.500
0.071 0.626 0.993
0.429 0.126 0.493
0.571 0.874 0.993
0.929 0.374 0.493
0.058 0.615 0.624
0.093 0.139 0.601
0.407 0.639 0.101
0.442 0.115 0.124
0.558 0.885 0.624
0.593 0.361 0.601
0.907 0.861 0.101
0.942 0.385 0.124
```

The 10 most intense peaks (2θ from 10° to 90°), in order of rising 2θ:
2theta	I/Imax
15.51	86
16.01	100
22.99	44
24.26	36
25.54	57
26.35	97
27.47	33
41.93	44
45.52	49
49.75	35

---

Record 3
# U2GeSe
Simulated powder diffractogram, Cu Ka. Input: a crystal structure in Alexandria, relaxed with PBE.

Crystal structure
```
U2GeSe
1.0
3.463 0.000 0.000
0.000 3.463 0.000
0.000 0.000 7.321
U Ge Se
2 1 1
direct
0.000 0.000 0.246
0.000 0.000 0.754
0.500 0.500 0.000
0.500 0.500 0.500
```

The 10 most intense peaks (2θ from 10° to 90°), in order of rising 2θ:
2theta	I/Imax
24.32	15
25.72	27
35.69	100
36.70	46
44.51	13
49.82	10
52.87	17
63.45	19
65.43	35
75.60	12

---

Record 4
# SmSi2Pd3
Simulated powder diffractogram, Cu Ka. Input: a crystal structure in Alexandria, relaxed with PBE.

Crystal structure
```
SmSi2Pd3
1.0
8.197 -2.011 0.000
8.197 2.011 0.000
-3.181 0.000 9.427
Sm Si Pd
3 6 9
direct
0.000 0.000 0.000
0.154 0.154 0.693
0.846 0.846 0.307
0.200 0.200 0.131
0.364 0.364 0.552
0.465 0.465 0.222
0.535 0.535 0.778
0.636 0.636 0.448
0.800 0.800 0.869
0.042 0.042 0.332
0.221 0.221 0.393
0.322 0.322 0.039
0.374 0.374 0.799
0.500 0.500 0.500
0.626 0.626 0.201
0.678 0.678 0.961
0.779 0.779 0.607
0.958 0.958 0.668
```

The 10 most intense peaks (2θ from 10° to 90°), in order of rising 2θ:
2theta	I/Imax
27.82	10
28.40	11
31.43	37
34.65	12
35.25	100
36.70	21
40.18	19
42.84	13
43.55	12
45.06	39

---

Record 5
# Ac2Pr2SmDy
Simulated powder diffractogram, Cu Ka. Input: a crystal structure in Alexandria, relaxed with PBE.

Crystal structure
```
Ac2Pr2SmDy
1.0
7.382 0.000 0.000
0.000 5.953 0.000
0.000 0.000 10.268
Ac Pr Sm Dy
4 4 2 2
direct
0.000 0.000 0.000
0.250 0.500 0.175
0.500 0.000 0.000
0.750 0.500 0.825
0.250 0.000 0.344
0.250 0.500 0.827
0.750 0.000 0.656
0.750 0.500 0.173
0.000 0.500 0.500
0.500 0.500 0.500
0.250 0.000 0.663
0.750 0.000 0.337
```

The 10 most intense peaks (2θ from 10° to 90°), in order of rising 2θ:
2theta	I/Imax
29.79	95
30.08	100
42.85	36
49.39	9
53.16	13
53.29	25
53.37	14
58.92	30
62.61	8
75.66	10